The following is a theoretical XRD peak list of KBi4S6. It was derived from the GGA-PBE geometry in Alexandria, using Cu Kα (weighted mean of Kα1 and Kα2).

Largest 10 diffraction maxima, sorted by position, 2θ = 5–70°:
2theta, intensity, (hkl)
8.48, 55, 0 0 2
23.32, 23, 1 1 2
25.15, 100, 0 2 5
26.52, 23, 0 4 0
27.68, 25, 1 1 4
29.08, 32, 1 3 1
30.04, 35, 1 3 2
31.56, 38, 1 3 3
43.32, 32, 0 0 10
49.56, 26, 2 2 5

Crystal structure
a = 4.304 Å, b = 13.446 Å, c = 20.857 Å
α = 90.00°, β = 90.00°, γ = 90.00°
Space group Cmcm (No. 63)
One atom of each set of equivalent atoms:
1 K 0.000 0.152 0.250
2 Bi 0.000 0.098 0.635
3 Bi 0.000 0.366 0.543
4 S 0.000 0.000 0.000
5 S 0.000 0.179 0.750
6 S 0.000 0.258 0.082
7 S 0.000 0.473 0.656